Structure and theoretical XRD peak list of La2TbSn3Pb4 (a crystal structure in OQMD, relaxed with GGA-PBE; λ = 1.5418 Å (Cu Kα)).
Lines closer than 0.1° are merged.

Most intense lines, 15° ≤ 2θ ≤ 90°, in order of falling intensity:
| (hkl) | 2θ/deg | intensity |
| --- | --- | --- |
| 1 5 1 | 31.82 | 100.0 |
| 2 0 0 | 38.12 | 33.5 |
| 3 5 1 | 64.97 | 26.7 |
| 2 10 0 | 52.27 | 19.9 |
| 0 10 0 | 34.38 | 16.0 |
| 2 0 2 | 55.01 | 11.8 |
| 2 10 2 | 66.51 | 9.8 |
| 1 15 1 | 59.99 | 9.0 |
| 3 15 1 | 85.78 | 6.9 |
| 1 7 0 | 30.57 | 4.8 |

Structure:
Cell lengths 4.7205, 26.0833, 4.7217 Å; angles 90.00, 90.00, 90.00 degrees
Space group Cmmm (No. 65)
One atom of each set of equivalent atoms:
La 0.0000 0.1842 0.0000
Tb 0.0000 0.0000 0.0000
Sn 0.0000 0.0922 0.5000
Sn 0.0000 0.5000 0.5000
Pb 0.0000 0.2927 0.5000
Pb 0.0000 0.4074 0.0000

Structure and theoretical XRD peak list of La2TbSn2Pb5 (a crystal structure in OQMD, relaxed with GGA-PBE; λ = 1.5418 Å (Cu Kα)).
Lines closer than 0.1° are merged.

Most intense lines, 15° ≤ 2θ ≤ 90°, in order of falling intensity:
| (hkl) | 2θ/deg | intensity |
| --- | --- | --- |
| 1 5 1 | 31.71 | 100.0 |
| 0 0 2 | 37.46 | 17.2 |
| 0 10 0 | 34.12 | 16.8 |
| 2 0 0 | 38.63 | 15.9 |
| 1 5 3 | 64.01 | 13.8 |
| 3 5 1 | 65.60 | 12.9 |
| 2 0 2 | 54.90 | 11.6 |
| 0 10 2 | 51.57 | 10.6 |
| 2 10 2 | 66.25 | 10.2 |
| 2 10 0 | 52.48 | 10.1 |

Structure:
Cell lengths 4.6618, 26.2743, 4.8016 Å; angles 90.00, 90.00, 90.00 degrees
Space group Cmmm (No. 65)
One atom of each set of equivalent atoms:
La 0.0000 0.1847 0.0000
Tb 0.0000 0.0000 0.0000
Sn 0.0000 0.4077 0.0000
Pb 0.0000 0.0944 0.5000
Pb 0.0000 0.2922 0.5000
Pb 0.0000 0.5000 0.5000

Structure and theoretical XRD peak list of LaTb2Sn4Pb3 (a crystal structure in OQMD, relaxed with GGA-PBE; λ = 1.5418 Å (Cu Kα)).
Lines closer than 0.1° are merged.

Most intense lines, 15° ≤ 2θ ≤ 90°, in order of falling intensity:
| (hkl) | 2θ/deg | intensity |
| --- | --- | --- |
| 1 5 1 | 32.21 | 100.0 |
| 2 10 0 | 53.03 | 22.9 |
| 0 10 0 | 35.07 | 18.3 |
| 0 0 2 | 38.41 | 16.1 |
| 2 0 0 | 38.52 | 16.0 |
| 1 5 3 | 65.59 | 13.6 |
| 3 5 1 | 65.74 | 13.3 |
| 1 15 1 | 61.11 | 13.3 |
| 2 10 2 | 67.39 | 11.3 |
| 2 0 2 | 55.53 | 11.3 |

Structure:
Cell lengths 4.6742, 25.5893, 4.6869 Å; angles 90.00, 90.00, 90.00 degrees
Space group Cmmm (No. 65)
One atom of each set of equivalent atoms:
La 0.0000 0.0000 0.0000
Tb 0.0000 0.1906 0.0000
Sn 0.0000 0.1016 0.5000
Sn 0.0000 0.2913 0.5000
Pb 0.0000 0.3997 0.0000
Pb 0.0000 0.5000 0.5000

Structure and theoretical XRD peak list of LaYZn2Pb2 (a crystal structure in OQMD, relaxed with GGA-PBE; λ = 1.5418 Å (Cu Kα)).
Lines closer than 0.1° are merged.

Most intense lines, 15° ≤ 2θ ≤ 90°, in order of falling intensity:
| (hkl) | 2θ/deg | intensity |
| --- | --- | --- |
| 1 0 4 | 30.99 | 100.0 |
| 1 1 0 | 38.51 | 80.5 |
| 1 0 3 | 27.38 | 57.7 |
| 1 0 7 | 44.57 | 43.2 |
| 2 0 4 | 50.23 | 26.0 |
| 2 1 4 | 65.02 | 23.8 |
| 2 1 7 | 73.90 | 17.5 |
| 1 1 8 | 59.90 | 15.9 |
| 3 0 0 | 69.66 | 14.1 |
| 2 0 7 | 60.34 | 13.5 |

Structure:
Cell lengths 4.6756, 4.6756, 16.4540 Å; angles 90.00, 90.00, 120.00 degrees
Space group P6_3/mmc (No. 194)
One atom of each set of equivalent atoms:
La 0.0000 0.0000 0.2500
Y 0.0000 0.0000 0.0000
Zn 0.3333 0.6667 0.1583
Pb 0.3333 0.6667 0.6070

Structure and theoretical XRD peak list of LaYZn2Pb2 (a crystal structure in OQMD, relaxed with GGA-PBE; λ = 1.5418 Å (Cu Kα)).
Lines closer than 0.1° are merged.

Most intense lines, 15° ≤ 2θ ≤ 90°, in order of falling intensity:
| (hkl) | 2θ/deg | intensity |
| --- | --- | --- |
| 1 0 4 | 30.89 | 100.0 |
| 1 1 0 | 38.78 | 78.1 |
| 1 0 3 | 27.37 | 54.2 |
| 1 0 7 | 44.19 | 34.3 |
| 2 0 4 | 50.38 | 25.6 |
| 2 1 4 | 65.33 | 23.4 |
| 1 1 8 | 59.60 | 19.9 |
| 1 0 1 | 22.74 | 15.8 |
| 2 1 7 | 73.96 | 15.1 |
| 2 0 7 | 60.22 | 13.7 |

Structure:
Cell lengths 4.6447, 4.6447, 16.6746 Å; angles 90.00, 90.00, 120.00 degrees
Space group P6_3/mmc (No. 194)
One atom of each set of equivalent atoms:
La 0.0000 0.0000 0.0000
Y 0.0000 0.0000 0.2500
Zn 0.3333 0.6667 0.1682
Pb 0.3333 0.6667 0.6162

Structure and theoretical XRD peak list of La2Zn2Pb3 (a crystal structure in OQMD, relaxed with GGA-PBE; λ = 1.5418 Å (Cu Kα)).
Lines closer than 0.1° are merged.

Most intense lines, 15° ≤ 2θ ≤ 90°, in order of falling intensity:
| (hkl) | 2θ/deg | intensity |
| --- | --- | --- |
| 0 1 8 | 33.35 | 100.0 |
| 1 1 0 | 34.60 | 95.5 |
| 1 2 8 | 61.21 | 35.2 |
| 2 0 8 | 48.82 | 34.6 |
| 0 1 2 | 20.86 | 19.4 |
| 3 0 0 | 62.01 | 17.8 |
| 1 0 16 | 58.78 | 17.1 |
| 3 1 8 | 82.66 | 15.4 |
| 0 1 5 | 25.87 | 14.8 |
| 1 0 1 | 20.05 | 14.3 |

Structure:
Cell lengths 5.1843, 5.1843, 26.8312 Å; angles 90.00, 90.00, 120.00 degrees
Space group R3m (No. 160, hexagonal axes)
One atom of each set of equivalent atoms:
La 0.0000 0.0000 0.0000
La 0.0000 0.0000 0.4951
Zn 0.0000 0.0000 0.2358
Zn 0.0000 0.0000 0.7505
Pb 0.0000 0.0000 0.3779
Pb 0.0000 0.0000 0.6186
Pb 0.0000 0.0000 0.8715

Structure and theoretical XRD peak list of La2PrSi4Pd4 (a crystal structure in OQMD, relaxed with GGA-PBE; λ = 1.5418 Å (Cu Kα)).
Lines closer than 0.1° are merged.

Most intense lines, 15° ≤ 2θ ≤ 90°, in order of falling intensity:
| (hkl) | 2θ/deg | intensity |
| --- | --- | --- |
| 1 1 4 | 33.17 | 100.0 |
| 1 0 7 | 33.05 | 26.9 |
| 0 2 0 | 42.25 | 20.1 |
| 2 0 0 | 42.98 | 19.3 |
| 0 1 9 | 38.87 | 13.2 |
| 0 1 11 | 45.47 | 12.9 |
| 2 2 0 | 61.85 | 12.8 |
| 3 1 4 | 72.52 | 12.8 |
| 1 2 7 | 54.66 | 12.7 |
| 0 1 3 | 23.41 | 12.5 |

Structure:
Cell lengths 4.2086, 4.2778, 24.8039 Å; angles 90.00, 90.00, 90.00 degrees
Space group Immm (No. 71)
One atom of each set of equivalent atoms:
La 0.0000 0.0000 0.1466
Pr 0.0000 0.5000 0.0000
Si 0.0000 0.0000 0.3026
Si 0.0000 0.5000 0.4520
Pd 0.0000 0.0000 0.4023
Pd 0.0000 0.5000 0.2488

Structure and theoretical XRD peak list of LaPrSi4Pd2 (a crystal structure in OQMD, relaxed with GGA-PBE; λ = 1.5418 Å (Cu Kα)).
Lines closer than 0.1° are merged.

Most intense lines, 15° ≤ 2θ ≤ 90°, in order of falling intensity:
| (hkl) | 2θ/deg | intensity |
| --- | --- | --- |
| 1 0 2 | 33.55 | 100.0 |
| 1 1 -1 | 29.98 | 69.3 |
| 0 1 2 | 29.73 | 31.8 |
| 1 2 2 | 55.26 | 26.3 |
| 2 0 -1 | 41.86 | 24.9 |
| 0 2 0 | 42.57 | 23.7 |
| 0 1 3 | 38.17 | 22.2 |
| 1 2 -5 | 70.15 | 17.6 |
| 0 1 4 | 47.86 | 16.7 |
| 2 2 -1 | 61.23 | 15.9 |

Structure:
Cell lengths 4.3165, 4.2475, 8.7714 Å; angles 90.00, 104.21, 90.00 degrees
Space group Pm (No. 6)
One atom of each set of equivalent atoms:
La 0.0000 0.0000 0.0000
Pr 0.7916 0.5000 0.5812
Si 0.1455 0.5000 0.2907
Si 0.3620 0.0000 0.7194
Si 0.4293 0.5000 0.8611
Si 0.6476 0.0000 0.2933
Pd 0.2175 0.0000 0.4334
Pd 0.5753 0.5000 0.1501

Structure and theoretical XRD peak list of La2PrZn2Si4Pd2 (a crystal structure in OQMD, relaxed with GGA-PBE; λ = 1.5418 Å (Cu Kα)).
Lines closer than 0.1° are merged.

Most intense lines, 15° ≤ 2θ ≤ 90°, in order of falling intensity:
| (hkl) | 2θ/deg | intensity |
| --- | --- | --- |
| 1 1 4 | 33.09 | 100.0 |
| 0 1 7 | 32.80 | 28.7 |
| 0 2 0 | 41.88 | 25.0 |
| 2 0 0 | 42.98 | 18.3 |
| 1 0 3 | 23.75 | 16.7 |
| 2 1 7 | 55.10 | 12.9 |
| 2 2 0 | 61.56 | 12.4 |
| 1 0 11 | 45.84 | 11.5 |
| 1 0 9 | 39.21 | 11.4 |
| 0 0 8 | 28.95 | 11.1 |

Structure:
Cell lengths 4.2087, 4.3154, 24.6778 Å; angles 90.00, 90.00, 90.00 degrees
Space group Immm (No. 71)
One atom of each set of equivalent atoms:
La 0.0000 0.0000 0.1476
Pr 0.0000 0.5000 0.5000
Zn 0.0000 0.0000 0.4030
Si 0.0000 0.0000 0.3031
Si 0.0000 0.5000 0.0479
Pd 0.0000 0.5000 0.2503

Structure and theoretical XRD peak list of La2TbSn3PdPt2 (a crystal structure in OQMD, relaxed with GGA-PBE; λ = 1.5418 Å (Cu Kα)).
Lines closer than 0.1° are merged.

Most intense lines, 15° ≤ 2θ ≤ 90°, in order of falling intensity:
| (hkl) | 2θ/deg | intensity |
| --- | --- | --- |
| 1 4 0 | 34.59 | 100.0 |
| 1 3 1 | 31.77 | 97.4 |
| 0 1 3 | 35.74 | 48.0 |
| 0 3 3 | 40.72 | 39.3 |
| 1 4 2 | 42.05 | 34.3 |
| 2 0 0 | 43.65 | 29.8 |
| 2 1 3 | 57.63 | 24.7 |
| 2 3 3 | 61.22 | 23.9 |
| 1 7 3 | 65.16 | 22.8 |
| 1 5 3 | 54.47 | 12.8 |

Structure:
Cell lengths 4.1477, 13.2785, 7.6837 Å; angles 90.00, 90.00, 90.00 degrees
Space group Amm2 (No. 38)
One atom of each set of equivalent atoms:
La 0.0000 0.2072 0.0000
Tb 0.0000 0.0000 0.3812
Sn 0.5000 0.0000 0.0452
Sn 0.5000 0.1235 0.6636
Pd 0.0000 0.0000 0.7858
Pt 0.5000 0.1620 0.2938

Structure and theoretical XRD peak list of LaTlPdPt (a crystal structure in OQMD, relaxed with GGA-PBE; λ = 1.5418 Å (Cu Kα)).
Lines closer than 0.1° are merged.

Most intense lines, 15° ≤ 2θ ≤ 90°, in order of falling intensity:
| (hkl) | 2θ/deg | intensity |
| --- | --- | --- |
| 1 1 0 | 37.83 | 100.0 |
| 0 1 3 | 36.32 | 76.3 |
| 0 1 2 | 28.99 | 47.9 |
| 2 0 3 | 53.45 | 25.2 |
| 1 2 3 | 67.33 | 25.1 |
| 1 0 6 | 64.35 | 18.5 |
| 3 0 0 | 68.31 | 17.8 |
| 0 1 4 | 44.85 | 17.3 |
| 2 1 6 | 89.28 | 16.0 |
| 0 0 2 | 19.13 | 14.6 |

Structure:
Cell lengths 4.7567, 4.7567, 9.2778 Å; angles 90.00, 90.00, 120.00 degrees
Space group P-3m1 (No. 164)
One atom of each set of equivalent atoms:
La 0.3333 0.6667 0.2565
Tl 0.0000 0.0000 0.0000
Tl 0.0000 0.0000 0.5000
Pd 0.3333 0.6667 0.9186
Pt 0.3333 0.6667 0.5993

Structure and theoretical XRD peak list of La2Si3Pd3 (a crystal structure in OQMD, relaxed with GGA-PBE; λ = 1.5418 Å (Cu Kα)).
Lines closer than 0.1° are merged.

Most intense lines, 15° ≤ 2θ ≤ 90°, in order of falling intensity:
| (hkl) | 2θ/deg | intensity |
| --- | --- | --- |
| 1 1 3 | 33.49 | 100.0 |
| 2 0 0 | 42.38 | 40.9 |
| 1 0 5 | 33.24 | 24.6 |
| 3 1 3 | 71.86 | 21.2 |
| 0 1 6 | 37.52 | 15.1 |
| 2 2 0 | 61.49 | 13.4 |
| 1 2 5 | 54.89 | 11.6 |
| 0 1 8 | 46.91 | 11.3 |
| 1 1 11 | 66.82 | 10.9 |
| 0 0 6 | 30.85 | 10.9 |

Structure:
Cell lengths 4.2648, 4.2663, 17.3889 Å; angles 90.00, 90.00, 90.00 degrees
Space group Pmmn (No. 59, origin choice 2)
One atom of each set of equivalent atoms:
La 0.2500 0.2500 0.1449
La 0.2500 0.7500 0.3532
Si 0.2500 0.2500 0.7876
Si 0.2500 0.2500 0.9258
Si 0.2500 0.7500 0.5743
Pd 0.2500 0.2500 0.4975
Pd 0.2500 0.7500 0.7154
Pd 0.2500 0.7500 0.9977

Structure and theoretical XRD peak list of La2SmZn2Si4Pd2 (a crystal structure in OQMD, relaxed with GGA-PBE; λ = 1.5418 Å (Cu Kα)).
Lines closer than 0.1° are merged.

Most intense lines, 15° ≤ 2θ ≤ 90°, in order of falling intensity:
| (hkl) | 2θ/deg | intensity |
| --- | --- | --- |
| 1 1 4 | 33.25 | 100.0 |
| 0 1 7 | 32.91 | 29.7 |
| 0 2 0 | 42.29 | 19.4 |
| 2 0 0 | 43.13 | 18.3 |
| 1 0 3 | 23.81 | 17.6 |
| 2 1 7 | 55.30 | 13.3 |
| 1 0 11 | 45.82 | 12.4 |
| 2 2 0 | 61.99 | 12.2 |
| 0 0 8 | 28.91 | 11.4 |
| 1 0 9 | 39.22 | 10.8 |

Structure:
Cell lengths 4.1945, 4.2746, 24.7108 Å; angles 90.00, 90.00, 90.00 degrees
Space group Immm (No. 71)
One atom of each set of equivalent atoms:
La 0.0000 0.0000 0.1471
Sm 0.0000 0.5000 0.5000
Zn 0.0000 0.0000 0.4039
Si 0.0000 0.0000 0.3038
Si 0.0000 0.5000 0.0476
Pd 0.0000 0.5000 0.2501